Structure and simulated powder diffraction line list of Na3InPb2 (a GGA-PBE-relaxed structure; copper Kα).

Cell and atoms:
a = 11.7015 Å, b = 11.3870 Å, c = 5.6733 Å
α = 78.88°, β = 72.72°, γ = 28.41°
Fractional coordinates of all 12 atoms:
Na: 0.1250 0.1250 0.1250
Na: 0.2087 0.2087 0.5413
Na: 0.4587 0.4587 0.7913
Na: 0.5413 0.5413 0.2087
Na: 0.7913 0.7913 0.4587
Na: 0.8750 0.8750 0.8750
In: 0.3750 0.3750 0.3750
In: 0.6250 0.6250 0.6250
Pb: 0.0448 0.0448 0.7052
Pb: 0.2948 0.2948 0.9552
Pb: 0.7052 0.7052 0.0448
Pb: 0.9552 0.9552 0.2948

Top 10 peaks for 15 to 90 degrees two-theta, by angle:
Position (°2θ), I (rel.)
20.24, 100.0
31.96, 58.1
32.40, 56.6
35.14, 25.9
35.58, 43.8
40.91, 16.8
50.58, 17.0
55.09, 24.9
61.36, 17.4
62.16, 17.3

=====

Structure and simulated powder diffraction line list of NaIn2Pb (a GGA-PBE-relaxed structure; copper Kα).

Cell and atoms:
a = 8.0471 Å, b = 5.0444 Å, c = 11.5977 Å
α = 90.00°, β = 90.00°, γ = 90.00°
Fractional coordinates of all 16 atoms:
Na: 0.2235 0.2500 0.1803
Na: 0.2765 0.7500 0.6803
Na: 0.7235 0.2500 0.3197
Na: 0.7765 0.7500 0.8197
In: 0.0508 0.7500 0.4240
In: 0.0800 0.2500 0.8165
In: 0.4200 0.7500 0.3165
In: 0.4492 0.2500 0.9240
In: 0.5508 0.7500 0.0760
In: 0.5800 0.2500 0.6835
In: 0.9200 0.7500 0.1835
In: 0.9492 0.2500 0.5760
Pb: 0.1664 0.7500 0.9705
Pb: 0.3336 0.2500 0.4705
Pb: 0.6664 0.7500 0.5295
Pb: 0.8336 0.2500 0.0295

Top 10 peaks for 15 to 90 degrees two-theta, by angle:
Position (°2θ), I (rel.)
15.28, 50.4
18.86, 33.2
22.16, 38.4
29.42, 33.1
31.20, 70.8
32.38, 100.0
34.31, 38.6
35.60, 54.3
37.48, 64.9
60.96, 29.8

=====

Structure and simulated powder diffraction line list of Na6InPb2 (a GGA-PBE-relaxed structure; copper Kα).

Cell and atoms:
a = 9.4009 Å, b = 9.4009 Å, c = 3.3329 Å
α = 90.65°, β = 90.65°, γ = 60.00°
Fractional coordinates of all 9 atoms:
Na: 0.1642 0.5005 0.9997
Na: 0.1650 0.8350 0.0000
Na: 0.5005 0.1642 0.9997
Na: 0.4995 0.8358 0.0003
Na: 0.8350 0.1650 0.0000
Na: 0.8358 0.4995 0.0003
In: 0.5000 0.5000 0.5000
Pb: 0.1670 0.1670 0.4999
Pb: 0.8330 0.8330 0.5001

Top 10 peaks for 15 to 90 degrees two-theta, by angle:
Position (°2θ), I (rel.)
18.88, 100.0
32.77, 31.2
32.99, 88.7
33.13, 30.3
38.30, 17.6
47.06, 11.4
47.33, 11.2
47.60, 11.1
51.44, 15.4
58.99, 20.1

=====

Structure and simulated powder diffraction line list of Na6InPb (a GGA-PBE-relaxed structure; copper Kα).

Cell and atoms:
a = 6.2174 Å, b = 6.2230 Å, c = 6.2243 Å
α = 90.63°, β = 90.01°, γ = 90.09°
Fractional coordinates of all 8 atoms:
Na: 0.9999 0.0020 0.2527
Na: 0.0001 0.9980 0.7473
Na: 0.2522 0.4998 0.4998
Na: 0.4993 0.2475 0.0010
Na: 0.5007 0.7525 0.9990
Na: 0.7478 0.5002 0.5002
In: 0.0000 0.5000 0.0000
Pb: 0.5000 0.0000 0.5000

Top 10 peaks for 15 to 90 degrees two-theta, by angle:
Position (°2θ), I (rel.)
20.07, 25.2
20.19, 100.0
20.29, 24.9
28.70, 60.3
35.21, 59.1
35.35, 23.3
35.46, 57.6
46.15, 24.2
55.12, 19.3
55.36, 22.2

=====

Structure and simulated powder diffraction line list of Na3In4Pb2 (a GGA-PBE-relaxed structure; copper Kα).

Cell and atoms:
a = 5.3014 Å, b = 6.4626 Å, c = 8.4626 Å
α = 76.13°, β = 89.69°, γ = 65.79°
Fractional coordinates of all 9 atoms:
Na: 0.0000 0.0000 0.0000
Na: 0.4543 0.0985 0.6765
Na: 0.5457 0.9015 0.3235
In: 0.1136 0.7810 0.6459
In: 0.3199 0.3599 0.9757
In: 0.6801 0.6401 0.0243
In: 0.8864 0.2190 0.3541
Pb: 0.2305 0.5303 0.3216
Pb: 0.7695 0.4697 0.6784

Top 10 peaks for 15 to 90 degrees two-theta, by angle:
Position (°2θ), I (rel.)
15.57, 65.4
22.42, 21.4
22.53, 21.5
32.45, 100.0
32.89, 46.6
33.09, 48.6
33.19, 47.7
33.82, 48.4
46.21, 20.2
47.75, 21.2

=====

Structure and simulated powder diffraction line list of Na8InPb6 (a GGA-PBE-relaxed structure; copper Kα).

Cell and atoms:
a = 8.4375 Å, b = 8.4375 Å, c = 8.4375 Å
α = 65.20°, β = 65.20°, γ = 65.20°
Fractional coordinates of all 15 atoms:
Na: 0.0966 0.0966 0.0966
Na: 0.1454 0.6326 0.3349
Na: 0.3349 0.1454 0.6326
Na: 0.3674 0.6651 0.8546
Na: 0.6326 0.3349 0.1454
Na: 0.6651 0.8546 0.3674
Na: 0.8546 0.3674 0.6651
Na: 0.9034 0.9034 0.9034
In: 0.5000 0.5000 0.5000
Pb: 0.0862 0.5173 0.7827
Pb: 0.2173 0.9138 0.4827
Pb: 0.4827 0.2173 0.9138
Pb: 0.5173 0.7827 0.0862
Pb: 0.7827 0.0862 0.5173
Pb: 0.9138 0.4827 0.2173

Top 10 peaks for 15 to 90 degrees two-theta, by angle:
Position (°2θ), I (rel.)
19.53, 30.4
23.76, 83.9
30.37, 49.2
31.38, 21.9
32.04, 17.6
33.54, 100.0
34.16, 51.2
35.18, 15.5
36.85, 43.7
45.79, 26.4

=====

Structure and simulated powder diffraction line list of Na4In2Pb5 (a GGA-PBE-relaxed structure; copper Kα).

Cell and atoms:
a = 8.5452 Å, b = 3.3698 Å, c = 11.0905 Å
α = 90.00°, β = 94.30°, γ = 90.00°
Fractional coordinates of all 11 atoms:
Na: 0.1637 0.0000 0.3953
Na: 0.2948 0.0000 0.9396
Na: 0.7052 0.0000 0.0604
Na: 0.8363 0.0000 0.6047
In: 0.0560 0.5000 0.1309
In: 0.9440 0.5000 0.8691
Pb: 0.1919 0.5000 0.6724
Pb: 0.4215 0.5000 0.2041
Pb: 0.5000 0.5000 0.5000
Pb: 0.5785 0.5000 0.7959
Pb: 0.8081 0.5000 0.3276

Top 10 peaks for 15 to 90 degrees two-theta, by angle:
Position (°2θ), I (rel.)
18.46, 19.4
22.93, 18.0
26.45, 62.8
31.94, 44.6
32.45, 18.9
33.30, 100.0
35.28, 18.4
41.93, 31.8
43.03, 64.6
65.36, 26.8

=====

Structure and simulated powder diffraction line list of NaIn4Pb15 (a GGA-PBE-relaxed structure; copper Kα).

Cell and atoms:
a = 4.9144 Å, b = 4.9144 Å, c = 25.1724 Å
α = 90.00°, β = 90.00°, γ = 90.00°
Fractional coordinates of all 20 atoms:
Na: 0.0000 0.0000 0.0000
In: 0.0000 0.0000 0.1998
In: 0.0000 0.0000 0.3994
In: 0.0000 0.0000 0.6006
In: 0.0000 0.0000 0.8002
Pb: 0.0000 0.5000 0.0990
Pb: 0.0000 0.5000 0.2987
Pb: 0.0000 0.5000 0.5000
Pb: 0.0000 0.5000 0.7013
Pb: 0.0000 0.5000 0.9010
Pb: 0.5000 0.0000 0.0990
Pb: 0.5000 0.0000 0.2987
Pb: 0.5000 0.0000 0.5000
Pb: 0.5000 0.0000 0.7013
Pb: 0.5000 0.0000 0.9010
Pb: 0.5000 0.5000 0.0000
Pb: 0.5000 0.5000 0.1992
Pb: 0.5000 0.5000 0.3999
Pb: 0.5000 0.5000 0.6001
Pb: 0.5000 0.5000 0.8008

Top 10 peaks for 15 to 90 degrees two-theta, by angle:
Position (°2θ), I (rel.)
31.28, 100.0
35.67, 17.7
36.57, 33.2
52.01, 24.5
52.68, 11.8
61.35, 15.0
62.55, 28.4
65.25, 12.5
85.08, 12.6
86.15, 6.2

=====

Structure and simulated powder diffraction line list of NaIn6Pb2 (a GGA-PBE-relaxed structure; copper Kα).

Cell and atoms:
a = 10.9245 Å, b = 10.9245 Å, c = 10.9245 Å
α = 162.99°, β = 135.42°, γ = 48.04°
Fractional coordinates of all 9 atoms:
Na: 0.0000 0.0000 0.0000
In: 0.0505 0.3594 0.6911
In: 0.3299 0.5000 0.8299
In: 0.3317 0.6406 0.6911
In: 0.6683 0.3594 0.3089
In: 0.6701 0.5000 0.1701
In: 0.9495 0.6406 0.3089
Pb: 0.2860 0.7860 0.5000
Pb: 0.7140 0.2140 0.5000

Top 10 peaks for 15 to 90 degrees two-theta, by angle:
Position (°2θ), I (rel.)
23.25, 54.0
24.76, 74.6
27.98, 85.5
29.67, 36.0
31.03, 96.0
35.18, 93.1
35.52, 49.3
37.81, 33.2
42.26, 100.0
46.95, 75.5

=====

Structure and simulated powder diffraction line list of Na5InPb2 (a GGA-PBE-relaxed structure; copper Kα).

Cell and atoms:
a = 5.6127 Å, b = 5.6127 Å, c = 19.4736 Å
α = 90.00°, β = 90.00°, γ = 120.00°
Fractional coordinates of all 16 atoms:
Na: 0.0000 0.0000 0.1465
Na: 0.0000 0.0000 0.3535
Na: 0.0000 0.0000 0.6465
Na: 0.0000 0.0000 0.8535
Na: 0.3333 0.6667 0.0597
Na: 0.3333 0.6667 0.2500
Na: 0.3333 0.6667 0.4403
Na: 0.6667 0.3333 0.5597
Na: 0.6667 0.3333 0.7500
Na: 0.6667 0.3333 0.9403
In: 0.3333 0.6667 0.7500
In: 0.6667 0.3333 0.2500
Pb: 0.3333 0.6667 0.6052
Pb: 0.3333 0.6667 0.8948
Pb: 0.6667 0.3333 0.1052
Pb: 0.6667 0.3333 0.3948

Top 10 peaks for 15 to 90 degrees two-theta, by angle:
Position (°2θ), I (rel.)
18.24, 56.9
18.82, 100.0
22.86, 33.2
31.89, 74.6
33.19, 21.9
36.97, 27.9
37.25, 67.0
42.59, 27.8
49.84, 37.7
60.38, 24.0

=====

Structure and simulated powder diffraction line list of Na6In23Pb (a GGA-PBE-relaxed structure; copper Kα).

Cell and atoms:
a = 10.4983 Å, b = 10.4983 Å, c = 10.4983 Å
α = 60.00°, β = 60.00°, γ = 60.00°
Fractional coordinates of all 30 atoms:
Na: 0.2449 0.2449 0.7551
Na: 0.2449 0.7551 0.2449
Na: 0.2449 0.7551 0.7551
Na: 0.7551 0.2449 0.2449
Na: 0.7551 0.2449 0.7551
Na: 0.7551 0.7551 0.2449
In: 0.0000 0.0000 0.5000
In: 0.0000 0.5000 0.0000
In: 0.0000 0.5000 0.5000
In: 0.1150 0.6283 0.6283
In: 0.1345 0.1345 0.1345
In: 0.1345 0.1345 0.5965
In: 0.1345 0.5965 0.1345
In: 0.3717 0.3717 0.3717
In: 0.3717 0.3717 0.8850
In: 0.3717 0.8850 0.3717
In: 0.4035 0.8655 0.8655
In: 0.5000 0.0000 0.0000
In: 0.5000 0.0000 0.5000
In: 0.5000 0.5000 0.0000
In: 0.5000 0.5000 0.5000
In: 0.5965 0.1345 0.1345
In: 0.6283 0.1150 0.6283
In: 0.6283 0.6283 0.1150
In: 0.6283 0.6283 0.6283
In: 0.8655 0.4035 0.8655
In: 0.8655 0.8655 0.4035
In: 0.8655 0.8655 0.8655
In: 0.8850 0.3717 0.3717
Pb: 0.0000 0.0000 0.0000

Top 10 peaks for 15 to 90 degrees two-theta, by angle:
Position (°2θ), I (rel.)
20.72, 20.0
23.98, 6.3
34.16, 100.0
40.29, 11.1
49.09, 16.8
53.83, 4.5
61.16, 32.7
71.95, 9.6
75.81, 3.6
82.11, 12.9

=====

Structure and simulated powder diffraction line list of Na3In4Pb8 (a GGA-PBE-relaxed structure; copper Kα).

Cell and atoms:
a = 8.9841 Å, b = 8.9841 Å, c = 6.4489 Å
α = 107.98°, β = 107.98°, γ = 84.73°
Fractional coordinates of all 15 atoms:
Na: 0.0000 0.0000 0.0000
Na: 0.0000 0.5000 0.5000
Na: 0.5000 0.0000 0.5000
In: 0.0000 0.0000 0.5000
In: 0.0000 0.5000 0.0000
In: 0.5000 0.0000 0.0000
In: 0.5000 0.5000 0.0000
Pb: 0.2448 0.2448 0.8094
Pb: 0.2515 0.7485 0.0000
Pb: 0.2649 0.7351 0.5000
Pb: 0.3546 0.3546 0.3896
Pb: 0.6454 0.6454 0.6104
Pb: 0.7351 0.2649 0.5000
Pb: 0.7485 0.2515 0.0000
Pb: 0.7552 0.7552 0.1906

Top 10 peaks for 15 to 90 degrees two-theta, by angle:
Position (°2θ), I (rel.)
20.79, 62.7
27.74, 52.4
29.51, 100.0
29.62, 42.6
30.51, 26.3
32.69, 30.6
33.99, 33.8
35.83, 48.3
40.95, 38.1
42.30, 35.7